# BaFe2TcO8
Calculated powder diffraction line list, a wavelength of 1.5418 Å. Input: a structure optimized by DFT (PBE+U).
Neutral-atom scattering factors, no anomalous dispersion.

a = 5.4231 Å, b = 5.4231 Å, c = 7.4285 Å
α = 90.00°, β = 90.00°, γ = 120.00°
Element x y z (fractional)
Ba1 0.0000 0.0000 0.0000
Fe1 0.3333 0.6667 0.7235
Fe2 0.6667 0.3333 0.2765
Tc1 0.0000 0.0000 0.5000
O1 0.0484 0.3022 0.6504
O2 0.2538 0.9516 0.6504
O3 0.3022 0.2538 0.3496
O4 0.3333 0.6667 0.9585
O5 0.6667 0.3333 0.0415
O6 0.6978 0.7462 0.6504
O7 0.7462 0.0484 0.3496
O8 0.9516 0.6978 0.3496

Top 8 peaks for 2θ from 10° to 90°, in order of rising 2θ:
18.90°, rel. 71, (1 0 0); 22.40°, rel. 45, (1 0 1); 30.69°, rel. 100, (0 1 2); 33.04°, rel. 67, (1 1 0); 41.22°, rel. 21, (2 -1 2); 45.71°, rel. 36, (0 2 2); 57.55°, rel. 36, (3 -2 2); 60.42°, rel. 26, (1 1 4)